# 1
Theoretical X-ray powder pattern of TiBi2O5 for Cu Kα, from the PBE geometry in the Materials Project.
Intensities are scaled so that the largest is 100.

```
TiBi2O5
1.0
10.9017 0.0000 0.0000
0.0000 3.8747 0.0000
0.0000 0.0000 11.6246
Ti Bi O
4 8 20
Direct
0.1842 0.2500 0.1229 Ti
0.3158 0.7500 0.6229 Ti
0.6842 0.2500 0.3771 Ti
0.8158 0.7500 0.8771 Ti
0.1067 0.2500 0.7777 Bi
0.1374 0.2500 0.4476 Bi
0.3626 0.7500 0.9476 Bi
0.3933 0.7500 0.2777 Bi
0.6067 0.2500 0.7223 Bi
0.6374 0.2500 0.0524 Bi
0.8626 0.7500 0.5524 Bi
0.8933 0.7500 0.2223 Bi
0.0014 0.7500 0.3973 O
0.0257 0.2500 0.1578 O
0.2269 0.7500 0.7661 O
0.2283 0.2500 0.9638 O
0.2398 0.7500 0.1204 O
0.2602 0.2500 0.6204 O
0.2717 0.7500 0.4638 O
0.2731 0.2500 0.2661 O
0.4743 0.7500 0.6578 O
0.4986 0.2500 0.8973 O
0.5014 0.7500 0.1027 O
0.5257 0.2500 0.3422 O
0.7269 0.7500 0.7339 O
0.7283 0.2500 0.5362 O
0.7398 0.7500 0.3796 O
0.7602 0.2500 0.8796 O
0.7717 0.7500 0.0362 O
0.7731 0.2500 0.2339 O
0.9743 0.7500 0.8422 O
0.9986 0.2500 0.6027 O
```

Main lines, sorted by position (10 to 90 degrees two-theta):
(1 0 1), 11.13 deg, I 18
(1 0 3), 24.38 deg, I 14
(2 1 0), 28.26 deg, I 100
(0 1 3), 32.68 deg, I 23
(3 0 3), 33.76 deg, I 17
(4 1 3), 47.03 deg, I 21
(1 1 6), 53.56 deg, I 15
(2 2 3), 55.66 deg, I 16

=====

# 2
Theoretical X-ray powder pattern of NbPO5 for Cu Kα, from the PBE geometry in the Materials Project.
Intensities are scaled so that the largest is 100.

```
NbPO5
1.0
6.4917 0.0000 0.0000
0.0000 6.4917 0.0000
0.0000 0.0000 4.2672
Nb P O
2 2 10
Direct
0.2500 0.2500 0.2225 Nb
0.7500 0.7500 0.7775 Nb
0.2500 0.7500 0.5000 P
0.7500 0.2500 0.5000 P
0.0563 0.7292 0.7062 O
0.2292 0.9437 0.2938 O
0.2500 0.2500 0.8058 O
0.2708 0.5563 0.2938 O
0.4437 0.7708 0.7062 O
0.5563 0.2292 0.2938 O
0.7292 0.4437 0.7062 O
0.7500 0.7500 0.1942 O
0.7708 0.0563 0.7062 O
0.9437 0.2708 0.2938 O
```

Main lines, sorted by position (10 to 90 degrees two-theta):
(1 1 0), 19.34 deg, I 30
(1 0 1), 24.97 deg, I 100
(2 0 0), 27.48 deg, I 91
(1 1 1), 28.56 deg, I 26
(1 1 2), 46.96 deg, I 23
(3 0 1), 47.09 deg, I 30
(1 3 2), 62.82 deg, I 29
(3 3 2), 76.68 deg, I 21

=====

# 3
Theoretical X-ray powder pattern of BaGaSnH for Cu Kα, from the PBE geometry in the Materials Project.
Intensities are scaled so that the largest is 100.

```
BaGaSnH
1.0
4.6093 0.0000 0.0000
-2.3047 3.9918 0.0000
0.0000 0.0000 5.3981
Ba Ga Sn H
1 1 1 1
Direct
0.0000 0.0000 0.0000 Ba
0.6667 0.3333 0.4134 Ga
0.3333 0.6667 0.5409 Sn
0.6667 0.3333 0.0900 H
```

Main lines, sorted by position (10 to 90 degrees two-theta):
(1 0 1), 27.80 deg, I 100
(0 0 2), 33.19 deg, I 14
(1 1 0), 39.08 deg, I 40
(0 1 2), 40.34 deg, I 13
(0 2 1), 48.64 deg, I 22
(1 1 2), 52.19 deg, I 24
(1 0 3), 56.06 deg, I 14
(2 1 1), 64.08 deg, I 19